Calculated powder X-ray diffraction pattern
Compound: Ac5Sm2Y6
Radiation: CuKα
Structure: a cell relaxed with GGA-PBE

Top 12 peaks for 5 to 70 degrees two-theta, most intense first:
index  d/Å  I_rel
2 3 1  2.924  100
1 7 0  3.009  88
2 0 1  3.197  32
2 2 1  3.064  25
4 2 0  2.865  23
1 7 2  1.602  20
1 7 1  2.357  19
3 4 1  2.445  18
1 5 1  2.779  16
0 0 2  1.893  16
4 1 0  2.943  15
1 10 1  1.865  13

Structural model:
Unit cell a=11.880 b=21.780 c=3.787 alpha=90.00 beta=90.00 gamma=90.00
Space group Pbam (No. 55)
Unique sites:
Ac  0.000  0.000  0.000 [2 per cell]
Ac  0.072  0.426  0.000 [4 per cell]
Ac  0.145  0.723  0.000 [4 per cell]
Sm  0.116  0.283  0.500 [4 per cell]
Y  0.084  0.152  0.000 [4 per cell]
Y  0.159  0.881  0.500 [4 per cell]
Y  0.227  0.558  0.500 [4 per cell]